# 1
# TmZn6
Computed X-ray diffraction stick pattern, Cu Kα X-rays. Input: a GGA-PBE-relaxed structure.
Peak positions follow from Bragg's law for the DFT cell and can differ from measured ones.

Atomic structure:
```
TmZn6
1.0
8.271 0.000 0.000
0.000 5.348 0.000
0.000 0.000 10.463
Tm Zn
4 24
direct
0.239 0.250 0.059 Tm
0.261 0.750 0.559 Tm
0.739 0.250 0.441 Tm
0.761 0.750 0.941 Tm
0.064 0.750 0.091 Zn
0.066 0.015 0.309 Zn
0.066 0.485 0.309 Zn
0.098 0.250 0.522 Zn
0.135 0.750 0.854 Zn
0.190 0.250 0.757 Zn
0.310 0.750 0.257 Zn
0.365 0.250 0.354 Zn
0.402 0.750 0.022 Zn
0.434 0.515 0.809 Zn
0.434 0.985 0.809 Zn
0.436 0.250 0.591 Zn
0.564 0.750 0.409 Zn
0.566 0.015 0.191 Zn
0.566 0.485 0.191 Zn
0.598 0.250 0.978 Zn
0.635 0.750 0.646 Zn
0.690 0.250 0.743 Zn
0.810 0.750 0.243 Zn
0.865 0.250 0.146 Zn
0.902 0.750 0.478 Zn
0.934 0.515 0.691 Zn
0.934 0.985 0.691 Zn
0.936 0.250 0.909 Zn
```

Top 10 peaks for 2θ = 10–80°, low angle first:
Position (°2θ), intensity
33.5, 17.5
36.0, 27.6
37.7, 100.0
40.2, 13.3
41.1, 12.4
44.1, 15.8
44.3, 13.3
44.7, 17.4
62.7, 16.6
65.9, 11.1

---

# 2
# La3Si2AgPd9
Computed X-ray diffraction stick pattern, Cu Kα X-rays. Input: a GGA-PBE-relaxed structure.
Peak positions follow from Bragg's law for the DFT cell and can differ from measured ones.

Atomic structure:
```
La3Si2AgPd9
1.0
5.826 0.000 0.000
-2.913 5.045 0.000
0.000 0.000 10.832
La Si Ag Pd
3 2 1 9
direct
0.000 0.000 0.000 La
0.333 0.667 0.625 La
0.667 0.333 0.375 La
0.333 0.667 0.157 Si
0.667 0.333 0.843 Si
0.000 0.000 0.500 Ag
0.000 0.500 0.000 Pd
0.162 0.323 0.300 Pd
0.162 0.838 0.300 Pd
0.323 0.162 0.700 Pd
0.500 0.000 0.000 Pd
0.500 0.500 0.000 Pd
0.677 0.838 0.300 Pd
0.838 0.162 0.700 Pd
0.838 0.677 0.700 Pd
```

Top 10 peaks for 2θ = 10–80°, low angle first:
Position (°2θ), intensity
24.1, 11.8
24.7, 54.1
30.4, 13.0
36.6, 80.8
37.7, 13.6
39.4, 100.0
49.4, 33.9
63.9, 25.7
69.6, 16.9
77.8, 17.2

---

# 3
# Ac4Cd2Hg3
Computed X-ray diffraction stick pattern, Cu Kα X-rays. Input: a GGA-PBE-relaxed structure.
Peak positions follow from Bragg's law for the DFT cell and can differ from measured ones.

Atomic structure:
```
Ac4Cd2Hg3
1.0
5.890 -2.673 0.000
5.890 2.673 0.000
-1.249 0.000 9.434
Ac Cd Hg
4 2 3
direct
0.094 0.094 0.346 Ac
0.355 0.355 0.081 Ac
0.645 0.645 0.919 Ac
0.906 0.906 0.654 Ac
0.226 0.226 0.712 Cd
0.774 0.774 0.288 Cd
0.000 0.000 0.000 Hg
0.378 0.378 0.435 Hg
0.622 0.622 0.565 Hg
```

Top 10 peaks for 2θ = 10–80°, low angle first:
Position (°2θ), intensity
25.8, 21.0
28.4, 44.6
28.9, 82.0
30.9, 26.0
33.1, 100.0
33.5, 62.8
35.9, 58.6
46.2, 26.7
58.3, 15.8
59.6, 18.8

---

# 4
# Zn3Cu3Rh
Computed X-ray diffraction stick pattern, Cu Kα X-rays. Input: a GGA-PBE-relaxed structure.
Peak positions follow from Bragg's law for the DFT cell and can differ from measured ones.

Atomic structure:
```
Zn3Cu3Rh
1.0
3.118 1.800 5.804
-3.118 1.800 5.804
0.000 -3.600 5.804
Zn Cu Rh
6 6 2
direct
0.084 0.803 0.296 Zn
0.197 0.704 0.916 Zn
0.296 0.084 0.803 Zn
0.704 0.916 0.197 Zn
0.803 0.296 0.084 Zn
0.916 0.197 0.704 Zn
0.065 0.573 0.746 Cu
0.254 0.935 0.427 Cu
0.427 0.254 0.935 Cu
0.573 0.746 0.065 Cu
0.746 0.065 0.573 Cu
0.935 0.427 0.254 Cu
0.336 0.336 0.336 Rh
0.664 0.664 0.664 Rh
```

Top 10 peaks for 2θ = 10–80°, low angle first:
Position (°2θ), intensity
32.6, 54.0
34.8, 15.3
39.9, 36.9
42.4, 15.5
42.6, 100.0
44.7, 90.0
44.9, 17.5
45.7, 36.6
50.7, 15.9
55.9, 22.2